1.
Structure and theoretical powder diffraction line list of Th2Te3Se2 (a structure optimized by DFT (PBE); Cu Ka).

Structure:
a b c (Å): 3.8233 4.6541 12.1702
angles (deg): 79.10 81.09 89.99
Sites, in units of the cell vectors:
Th 0.1089 0.1079 0.2806
Th 0.8911 0.8921 0.7194
Te 0.2607 0.7613 0.9779
Te 0.5000 0.0000 0.5000
Te 0.7393 0.2387 0.0221
Se 0.3823 0.3834 0.7362
Se 0.6177 0.6166 0.2638

The 10 most intense peaks (2θ = 10–90°), by angle:
- 19.4°, I = 303
- 22.6°, I = 120
- 30.1°, I = 195
- 30.3°, I = 293
- 33.9°, I = 1000
- 38.7°, I = 192
- 39.4°, I = 123
- 47.6°, I = 107
- 62.9°, I = 99
- 67.0°, I = 104

---

2.
Structure and theoretical powder diffraction line list of Th4Te3Se4 (a structure optimized by DFT (PBE); Cu Ka).

Structure:
a b c (Å): 9.7494 9.7494 9.7494
angles (deg): 154.90 126.56 59.92
Sites, in units of the cell vectors:
Th 0.2456 0.2456 0.0000
Th 0.2791 0.5000 0.7791
Th 0.7209 0.5000 0.2209
Th 0.7544 0.7544 0.0000
Te 0.0000 0.0000 0.0000
Te 0.4001 0.9001 0.5000
Te 0.5999 0.0999 0.5000
Se 0.0232 0.3284 0.6948
Se 0.3663 0.6716 0.6948
Se 0.6337 0.3284 0.3052
Se 0.9768 0.6716 0.3052

The 10 most intense peaks (2θ = 10–90°), by angle:
- 21.0°, I = 358
- 22.9°, I = 339
- 29.8°, I = 1000
- 31.6°, I = 899
- 33.9°, I = 236
- 38.0°, I = 479
- 38.9°, I = 399
- 42.7°, I = 314
- 58.4°, I = 306
- 61.3°, I = 273

---

3.
Structure and theoretical powder diffraction line list of Th2TeSe3 (a structure optimized by DFT (PBE); Cu Ka).

Structure:
a b c (Å): 8.7868 8.7868 8.7875
angles (deg): 100.07 100.07 33.18
Sites, in units of the cell vectors:
Th 0.1267 0.1267 0.3902
Th 0.3643 0.3643 0.1311
Th 0.6357 0.6357 0.8689
Th 0.8733 0.8733 0.6098
Te 0.4391 0.4391 0.8127
Te 0.5609 0.5609 0.1873
Se 0.0658 0.0658 0.6850
Se 0.1857 0.1857 0.0610
Se 0.3080 0.3080 0.4347
Se 0.6920 0.6920 0.5653
Se 0.8143 0.8143 0.9390
Se 0.9342 0.9342 0.3150

The 10 most intense peaks (2θ = 10–90°), by angle:
- 21.4°, I = 526
- 21.6°, I = 545
- 35.3°, I = 245
- 35.5°, I = 1000
- 35.8°, I = 264
- 41.8°, I = 139
- 42.0°, I = 139
- 42.1°, I = 189
- 51.1°, I = 259
- 64.1°, I = 181

---

4.
Structure and theoretical powder diffraction line list of Ti2TeSe3 (a structure optimized by DFT (PBE); Cu Ka).

Structure:
a b c (Å): 7.6660 7.6660 12.4842
angles (deg): 112.84 112.84 26.96
Sites, in units of the cell vectors:
Ti 0.2479 0.2479 0.1218
Ti 0.2516 0.2516 0.6209
Ti 0.7484 0.7484 0.3791
Ti 0.7521 0.7521 0.8782
Te 0.1156 0.1156 0.7261
Te 0.8844 0.8844 0.2739
Se 0.1410 0.1410 0.2389
Se 0.3612 0.3612 0.0095
Se 0.3634 0.3634 0.5127
Se 0.6366 0.6366 0.4873
Se 0.6388 0.6388 0.9905
Se 0.8590 0.8590 0.7611

The 10 most intense peaks (2θ = 10–90°), by angle:
- 13.0°, I = 463
- 26.1°, I = 350
- 31.3°, I = 192
- 31.6°, I = 1000
- 31.8°, I = 867
- 39.0°, I = 389
- 39.4°, I = 199
- 49.9°, I = 302
- 50.8°, I = 364
- 51.1°, I = 191